The following is a simulated powder XRD pattern of Y2MgV2O8. It was derived from a DFT-relaxed cell (GGA+U, the Materials Project), using copper Kα.
Peak positions follow from Bragg's law for the DFT cell and can differ from measured ones.

Unit cell a=6.484 b=10.303 c=6.236 alpha=90.00 beta=121.25 gamma=90.00
Space group C2 (No. 5)
Asymmetric unit:
Y 0.000 0.000 0.000 (multiplicity 2)
Y 0.000 0.282 0.500 (multiplicity 2)
Mg 0.000 0.987 0.500 (multiplicity 2)
V 0.000 0.507 0.000 (multiplicity 2)
V 0.000 0.723 0.500 (multiplicity 2)
O 0.087 0.851 0.338 (multiplicity 4)
O 0.100 0.422 0.817 (multiplicity 4)
O 0.212 0.151 0.320 (multiplicity 4)
O 0.219 0.094 0.788 (multiplicity 4)

Top 10 peaks for 5° ≤ 2θ ≤ 70°, low angle first:
- hkl 1 1 0, 18.2°, d = 4.880 Å, intensity 14.7
- hkl 0 2 1, 24.0°, d = 3.705 Å, intensity 100.0
- hkl 2 0 0, 32.3°, d = 2.770 Å, intensity 46.5
- hkl 2 2 -1, 32.6°, d = 2.744 Å, intensity 28.0
- hkl 0 0 2, 33.6°, d = 2.666 Å, intensity 13.4
- hkl 1 3 -2, 39.0°, d = 2.307 Å, intensity 21.6
- hkl 2 2 1, 47.6°, d = 1.912 Å, intensity 29.3
- hkl 2 4 0, 48.2°, d = 1.886 Å, intensity 32.9
- hkl 0 4 2, 49.2°, d = 1.852 Å, intensity 18.9
- hkl 2 0 2, 59.3°, d = 1.558 Å, intensity 14.1

---

The following is a simulated powder XRD pattern of Li4Fe3Co3Sn2O16. It was derived from a DFT-relaxed cell (GGA+U, the Materials Project), using copper Kα.
Peak positions follow from Bragg's law for the DFT cell and can differ from measured ones.

Unit cell a=10.279 b=5.973 c=9.791 alpha=90.00 beta=90.67 gamma=90.00
Space group Cm (No. 8)
Asymmetric unit:
Li 0.000 0.000 0.000 (multiplicity 2)
Li 0.001 0.000 0.501 (multiplicity 2)
Li 0.163 0.500 0.401 (multiplicity 2)
Li 0.329 0.000 0.900 (multiplicity 2)
Fe 0.329 0.500 0.720 (multiplicity 2)
Fe 0.414 0.246 0.221 (multiplicity 4)
Co 0.083 0.253 0.721 (multiplicity 4)
Co 0.168 0.000 0.221 (multiplicity 2)
Sn 0.164 0.500 0.996 (multiplicity 2)
Sn 0.331 0.000 0.497 (multiplicity 2)
O 0.001 0.000 0.813 (multiplicity 2)
O 0.002 0.000 0.314 (multiplicity 2)
O 0.014 0.500 0.843 (multiplicity 2)
O 0.080 0.241 0.107 (multiplicity 4)
O 0.159 0.500 0.615 (multiplicity 2)
O 0.161 0.000 0.611 (multiplicity 2)
O 0.236 0.273 0.844 (multiplicity 4)
O 0.253 0.222 0.345 (multiplicity 4)
O 0.328 0.000 0.113 (multiplicity 2)
O 0.337 0.500 0.105 (multiplicity 2)
O 0.419 0.258 0.607 (multiplicity 4)
O 0.480 0.000 0.347 (multiplicity 2)

Top 10 peaks for 5° ≤ 2θ ≤ 70°, low angle first:
- hkl 2 0 -1, 19.4°, d = 4.569 Å, intensity 100.0
- hkl 2 0 1, 19.6°, d = 4.529 Å, intensity 18.9
- hkl 1 1 -2, 25.0°, d = 3.564 Å, intensity 20.4
- hkl 2 0 -3, 32.4°, d = 2.767 Å, intensity 24.7
- hkl 0 2 2, 35.2°, d = 2.551 Å, intensity 45.0
- hkl 3 1 2, 35.5°, d = 2.529 Å, intensity 22.8
- hkl 4 0 -1, 36.0°, d = 2.493 Å, intensity 21.6
- hkl 2 2 -3, 44.6°, d = 2.031 Å, intensity 18.9
- hkl 2 2 -5, 59.0°, d = 1.565 Å, intensity 19.9
- hkl 6 2 0, 62.5°, d = 1.486 Å, intensity 21.5

---

The following is a simulated powder XRD pattern of Li2V5P4O16. It was derived from a DFT-relaxed cell (GGA+U, the Materials Project), using copper Kα.
Peak positions follow from Bragg's law for the DFT cell and can differ from measured ones.

Unit cell a=5.256 b=8.108 c=8.273 alpha=109.83 beta=92.43 gamma=100.88
Space group P-1 (No. 2)
Asymmetric unit:
Li 0.132 0.073 0.301 (multiplicity 2)
V 0.148 0.410 0.681 (multiplicity 2)
V 0.409 0.750 0.226 (multiplicity 2)
V 0.500 0.000 0.000 (multiplicity 1)
P 0.110 0.294 0.040 (multiplicity 2)
P 0.352 0.794 0.569 (multiplicity 2)
O 0.153 0.487 0.176 (multiplicity 2)
O 0.160 0.824 0.433 (multiplicity 2)
O 0.189 0.783 0.019 (multiplicity 2)
O 0.222 0.637 0.617 (multiplicity 2)
O 0.225 0.169 0.113 (multiplicity 2)
O 0.245 0.306 0.879 (multiplicity 2)
O 0.395 0.236 0.521 (multiplicity 2)
O 0.417 0.970 0.730 (multiplicity 2)

Top 10 peaks for 5° ≤ 2θ ≤ 70°, low angle first:
- hkl 1 -1 0, 18.8°, d = 4.727 Å, intensity 100.0
- hkl 0 1 1, 19.3°, d = 4.610 Å, intensity 56.7
- hkl 1 1 0, 23.1°, d = 3.853 Å, intensity 38.3
- hkl 0 2 0, 23.9°, d = 3.724 Å, intensity 54.0
- hkl 1 0 -2, 27.2°, d = 3.273 Å, intensity 48.8
- hkl 1 -1 2, 28.0°, d = 3.183 Å, intensity 36.1
- hkl 1 1 1, 28.5°, d = 3.128 Å, intensity 58.5
- hkl 1 0 2, 30.5°, d = 2.927 Å, intensity 43.7
- hkl 2 -1 0, 34.4°, d = 2.603 Å, intensity 51.7
- hkl 1 -2 3, 38.4°, d = 2.345 Å, intensity 52.8

---

The following is a simulated powder XRD pattern of LiMn2P5O15. It was derived from a DFT-relaxed cell (GGA+U, the Materials Project), using copper Kα.
Peak positions follow from Bragg's law for the DFT cell and can differ from measured ones.

Unit cell a=5.344 b=9.039 c=13.391 alpha=90.00 beta=111.56 gamma=90.00
Space group Pc (No. 7)
Asymmetric unit:
Li 0.000 0.013 0.000 (multiplicity 2)
Mn 0.870 0.308 0.543 (multiplicity 2)
Mn 0.958 0.311 0.895 (multiplicity 2)
P 0.252 0.191 0.392 (multiplicity 2)
P 0.371 0.483 0.324 (multiplicity 2)
P 0.457 0.482 0.117 (multiplicity 2)
P 0.579 0.187 0.051 (multiplicity 2)
P 0.920 0.023 0.721 (multiplicity 2)
O 0.006 0.100 0.639 (multiplicity 2)
O 0.071 0.173 0.454 (multiplicity 2)
O 0.160 0.090 0.285 (multiplicity 2)
O 0.181 0.490 0.028 (multiplicity 2)
O 0.187 0.355 0.342 (multiplicity 2)
O 0.197 0.381 0.799 (multiplicity 2)
O 0.281 0.165 0.996 (multiplicity 2)
O 0.412 0.416 0.220 (multiplicity 2)
O 0.549 0.171 0.448 (multiplicity 2)
O 0.634 0.383 0.642 (multiplicity 2)
O 0.639 0.352 0.099 (multiplicity 2)
O 0.649 0.492 0.411 (multiplicity 2)
O 0.672 0.088 0.158 (multiplicity 2)
O 0.759 0.171 0.988 (multiplicity 2)
O 0.839 0.111 0.799 (multiplicity 2)

Top 10 peaks for 5° ≤ 2θ ≤ 70°, low angle first:
- hkl 0 1 0, 9.8°, d = 9.039 Å, intensity 22.5
- hkl 1 0 -2, 18.3°, d = 4.849 Å, intensity 23.7
- hkl 1 1 0, 20.4°, d = 4.355 Å, intensity 32.2
- hkl 1 1 -2, 20.8°, d = 4.273 Å, intensity 24.5
- hkl 1 1 1, 23.7°, d = 3.752 Å, intensity 43.7
- hkl 0 2 2, 24.4°, d = 3.653 Å, intensity 100.0
- hkl 1 0 2, 26.7°, d = 3.337 Å, intensity 36.1
- hkl 1 1 2, 28.5°, d = 3.127 Å, intensity 21.8
- hkl 1 2 -4, 34.2°, d = 2.625 Å, intensity 33.7
- hkl 1 3 0, 34.8°, d = 2.577 Å, intensity 33.4

---

The following is a simulated powder XRD pattern of Y4Si2Sb2W13O28. It was derived from a DFT-relaxed cell (GGA+U, the Materials Project), using copper Kα.
Peak positions follow from Bragg's law for the DFT cell and can differ from measured ones.

Unit cell a=5.920 b=9.540 c=12.979 alpha=85.56 beta=80.36 gamma=74.82
Space group P-1 (No. 2)
Asymmetric unit:
Y 0.131 0.322 0.075 (multiplicity 2)
Y 0.308 0.672 0.071 (multiplicity 2)
Si 0.449 0.711 0.504 (multiplicity 2)
Sb 0.162 0.950 0.229 (multiplicity 2)
W 0.000 0.000 0.500 (multiplicity 1)
W 0.073 0.343 0.353 (multiplicity 2)
W 0.198 0.373 0.764 (multiplicity 2)
W 0.207 0.684 0.336 (multiplicity 2)
W 0.272 0.004 0.921 (multiplicity 2)
W 0.466 0.008 0.655 (multiplicity 2)
W 0.479 0.643 0.773 (multiplicity 2)
O 0.019 0.411 0.922 (multiplicity 2)
O 0.052 0.858 0.983 (multiplicity 2)
O 0.087 0.094 0.633 (multiplicity 2)
O 0.129 0.617 0.769 (multiplicity 2)
O 0.195 0.665 0.505 (multiplicity 2)
O 0.213 0.128 0.404 (multiplicity 2)
O 0.310 0.142 0.789 (multiplicity 2)
O 0.381 0.892 0.508 (multiplicity 2)
O 0.398 0.873 0.788 (multiplicity 2)
O 0.418 0.361 0.398 (multiplicity 2)
O 0.419 0.329 0.613 (multiplicity 2)
O 0.451 0.403 0.071 (multiplicity 2)
O 0.455 0.139 0.990 (multiplicity 2)
O 0.465 0.590 0.218 (multiplicity 2)

Top 10 peaks for 5° ≤ 2θ ≤ 70°, low angle first:
- hkl 0 0 2, 13.8°, d = 6.394 Å, intensity 26.5
- hkl 1 0 2, 19.3°, d = 4.596 Å, intensity 25.0
- hkl 0 3 0, 29.1°, d = 3.067 Å, intensity 100.0
- hkl 2 1 1, 30.3°, d = 2.951 Å, intensity 52.7
- hkl -1 1 3, 30.8°, d = 2.900 Å, intensity 72.9
- hkl 1 2 -3, 32.3°, d = 2.769 Å, intensity 56.1
- hkl 1 2 4, 32.9°, d = 2.720 Å, intensity 53.7
- hkl 1 -1 4, 33.1°, d = 2.709 Å, intensity 44.8
- hkl 0 0 7, 49.9°, d = 1.827 Å, intensity 23.0
- hkl 1 5 -3, 54.6°, d = 1.680 Å, intensity 22.1

---

The following is a simulated powder XRD pattern of LiCo3O6. It was derived from a DFT-relaxed cell (GGA+U, the Materials Project), using copper Kα.
Peak positions follow from Bragg's law for the DFT cell and can differ from measured ones.

Unit cell a=4.955 b=8.440 c=10.117 alpha=90.00 beta=98.79 gamma=90.00
Space group C2 (No. 5)
Asymmetric unit:
Li 0.248 0.000 0.251 (multiplicity 4)
Co 0.000 0.000 0.500 (multiplicity 2)
Co 0.000 0.165 0.000 (multiplicity 2)
Co 0.000 0.332 0.500 (multiplicity 2)
Co 0.000 0.499 0.000 (multiplicity 2)
Co 0.000 0.667 0.500 (multiplicity 2)
Co 0.000 0.834 0.000 (multiplicity 2)
O 0.102 0.999 0.896 (multiplicity 4)
O 0.132 0.498 0.403 (multiplicity 4)
O 0.138 0.163 0.403 (multiplicity 4)
O 0.142 0.334 0.903 (multiplicity 4)
O 0.142 0.665 0.903 (multiplicity 4)
O 0.142 0.837 0.403 (multiplicity 4)

Top 10 peaks for 5° ≤ 2θ ≤ 70°, low angle first:
- hkl 0 0 2, 17.7°, d = 4.999 Å, intensity 100.0
- hkl 2 0 0, 36.7°, d = 2.448 Å, intensity 9.6
- hkl 1 3 -1, 37.3°, d = 2.413 Å, intensity 18.1
- hkl 1 3 1, 38.7°, d = 2.329 Å, intensity 5.3
- hkl 2 0 2, 43.6°, d = 2.077 Å, intensity 14.8
- hkl 1 3 -3, 44.3°, d = 2.044 Å, intensity 28.3
- hkl 1 3 3, 47.9°, d = 1.901 Å, intensity 7.8
- hkl 1 3 -5, 57.3°, d = 1.608 Å, intensity 9.6
- hkl 1 3 5, 62.2°, d = 1.492 Å, intensity 7.3
- hkl 3 3 -1, 65.5°, d = 1.424 Å, intensity 7.7